Starting from a PBE+U-relaxed structure, the PXRD pattern of KPmMnO3 was simulated for λ = 1.5418 Å (Cu Kα).
Kinematic intensities with the Lorentz-polarization factor, no thermal factor.

Largest 6 diffraction maxima, sorted by position, 2θ = 10–90°:
13.67°, I 100
23.15°, I 35
31.38°, I 54
31.87°, I 35
37.15°, I 18
37.70°, I 20

Cell and atoms:
```
KPmMnO3
1.0
1.848 -6.479 0.000
1.848 6.479 0.000
0.000 0.000 9.544
K Pm Mn O
2 2 2 6
direct
0.199 0.801 0.750
0.801 0.199 0.250
0.500 0.500 0.000
0.500 0.500 0.500
0.071 0.929 0.250
0.929 0.071 0.750
0.110 0.890 0.050
0.110 0.890 0.450
0.473 0.527 0.250
0.527 0.473 0.750
0.890 0.110 0.550
0.890 0.110 0.950
```